This entry pairs a crystal structure of Na3VP2O9 with its computed X-ray powder pattern. Radiation: copper Kα. Structure: a structure optimized by DFT (PBE+U).

Atomic structure:
a = 6.3186 Å, b = 6.4701 Å, c = 9.7667 Å
α = 90.00°, β = 108.63°, γ = 90.00°
Atoms (fractional coordinates):
Na  0.2234  0.0076  0.3250
Na  0.2234  0.4924  0.3250
Na  0.2685  0.2500  0.6802
Na  0.7315  0.7500  0.3198
Na  0.7766  0.5076  0.6750
Na  0.7766  0.9924  0.6750
V  0.2121  0.7500  0.9218
V  0.7879  0.2500  0.0782
P  0.2435  0.2500  0.9998
P  0.2603  0.7500  0.5970
P  0.7397  0.2500  0.4030
P  0.7565  0.7500  0.0002
O  0.0969  0.7500  0.4403
O  0.1095  0.7500  0.7051
O  0.1209  0.2500  0.1146
O  0.1853  0.0584  0.8993
O  0.1853  0.4416  0.8993
O  0.2778  0.7500  0.1001
O  0.4009  0.5513  0.6247
O  0.4009  0.9487  0.6247
O  0.4962  0.2500  0.0866
O  0.5038  0.7500  0.9134
O  0.5991  0.0513  0.3753
O  0.5991  0.4487  0.3753
O  0.7222  0.2500  0.8999
O  0.8147  0.5584  0.1007
O  0.8147  0.9416  0.1007
O  0.8791  0.7500  0.8854
O  0.8905  0.2500  0.2949
O  0.9031  0.2500  0.5597

Peak list (6 most intense, 10 to 90 degrees two-theta, sorted by position)
two_theta	I_rel	index
16.72	38.1	0 1 1
27.57	41.3	0 2 0
28.94	34.2	0 0 3
29.24	31.4	0 2 1
29.87	100.0	2 0 0
31.45	42.7	1 2 -1